(1)
The following is a simulated powder diffraction line list of Sc4In3Ni. It was derived from a crystal structure in Alexandria, relaxed with PBE, using Cu Kα (λ = 1.5418 Å).
Neutral-atom scattering factors, no anomalous dispersion.

Cell: 3.226 3.226 16.132 Å, 90.00 90.00 90.00°
Space group P4/mmm (No. 123)
One atom of each set of equivalent atoms:
Sc 0.000 0.000 0.095 (multiplicity 2)
Sc 0.000 0.000 0.365 (multiplicity 2)
In 0.500 0.500 0.232 (multiplicity 2)
In 0.500 0.500 0.500 (multiplicity 1)
Ni 0.500 0.500 0.000 (multiplicity 1)

Largest 10 diffraction maxima, most intense first, 10 to 90 degrees two-theta:
| index | Position (°2θ) | Rel. int. |
| --- | --- | --- |
| 1 0 4 | 35.64 | 1000 |
| 1 1 0 | 39.51 | 484 |
| 2 1 4 | 69.16 | 260 |
| 1 0 0 | 27.65 | 183 |
| 0 0 4 | 22.04 | 159 |
| 1 0 3 | 32.36 | 152 |
| 2 0 0 | 57.11 | 145 |
| 1 1 8 | 61.37 | 107 |
| 1 1 7 | 56.79 | 101 |
| 1 1 4 | 45.70 | 97 |

(2)
The following is a simulated powder diffraction line list of InNi2Se. It was derived from a crystal structure in Alexandria, relaxed with PBE, using Cu Kα (λ = 1.5418 Å).
Neutral-atom scattering factors, no anomalous dispersion.

Cell: 4.512 4.512 14.782 Å, 90.00 90.00 90.00°
Space group I-42d (No. 122)
One atom of each set of equivalent atoms:
In 0.000 0.000 0.000 (multiplicity 4)
Ni 0.149 0.250 0.625 (multiplicity 8)
Se 0.000 0.000 0.500 (multiplicity 4)

Largest 10 diffraction maxima, most intense first, 10 to 90 degrees two-theta:
| index | Position (°2θ) | Rel. int. |
| --- | --- | --- |
| 1 1 2 | 30.52 | 1000 |
| 2 0 4 | 47.21 | 460 |
| 1 1 6 | 46.58 | 302 |
| 3 1 2 | 66.78 | 160 |
| 0 0 8 | 49.32 | 136 |
| 1 0 3 | 26.79 | 119 |
| 2 1 1 | 45.37 | 106 |
| 3 1 6 | 77.28 | 105 |
| 1 1 10 | 70.17 | 87 |
| 2 2 0 | 57.80 | 86 |

(3)
The following is a simulated powder diffraction line list of In2Si6Ni21. It was derived from a crystal structure in Alexandria, relaxed with PBE, using Cu Kα (λ = 1.5418 Å).
Neutral-atom scattering factors, no anomalous dispersion.

Cell: 11.235 11.235 11.235 Å, 90.00 90.00 90.00°
Space group Fm-3m (No. 225)
One atom of each set of equivalent atoms:
In 0.250 0.250 0.250 (multiplicity 8)
Si 0.000 0.000 0.232 (multiplicity 24)
Ni 0.000 0.000 0.500 (multiplicity 4)
Ni 0.000 0.174 0.326 (multiplicity 48)
Ni 0.118 0.118 0.118 (multiplicity 32)

Largest 10 diffraction maxima, most intense first, 10 to 90 degrees two-theta:
| index | Position (°2θ) | Rel. int. |
| --- | --- | --- |
| 3 3 3 | 41.78 | 1000 |
| 4 4 0 | 45.68 | 448 |
| 4 2 2 | 39.28 | 378 |
| 4 2 0 | 35.74 | 333 |
| 5 3 1 | 47.90 | 304 |
| 6 6 0 | 71.21 | 275 |
| 8 4 4 | 84.49 | 239 |
| 6 2 2 | 54.15 | 221 |
| 5 5 5 | 72.92 | 119 |
| 6 4 4 | 68.92 | 92 |

(4)
The following is a simulated powder diffraction line list of Th2InSi3Ni12. It was derived from a crystal structure in Alexandria, relaxed with PBE, using Cu Kα (λ = 1.5418 Å).
Neutral-atom scattering factors, no anomalous dispersion.

Cell: 7.3421 7.3421 18.8658 Å, 90.00 90.00 120.00°
Space group R-3m (No. 166, hexagonal axes)
One atom of each set of equivalent atoms:
Th 0.0000 0.0000 0.1046 (multiplicity 6)
In 0.0000 0.0000 0.5000 (multiplicity 3)
Si 0.0000 0.5000 0.0000 (multiplicity 9)
Ni 0.0159 0.5079 0.3665 (multiplicity 18)
Ni 0.0628 0.5314 0.8787 (multiplicity 18)

Largest 10 diffraction maxima, most intense first, 10 to 90 degrees two-theta:
| index | Position (°2θ) | Rel. int. |
| --- | --- | --- |
| 0 2 4 | 34.01 | 1000 |
| 2 2 0 | 49.67 | 661 |
| 2 0 8 | 48.04 | 570 |
| 1 1 3 | 28.15 | 549 |
| 0 1 5 | 27.49 | 546 |
| 1 0 1 | 14.70 | 536 |
| 1 2 5 | 44.71 | 463 |
| 1 2 2 | 38.66 | 335 |
| 1 1 0 | 24.24 | 288 |
| 2 0 5 | 36.97 | 287 |

(5)
The following is a simulated powder diffraction line list of ThInSi2Ni5. It was derived from a crystal structure in Alexandria, relaxed with PBE, using Cu Kα (λ = 1.5418 Å).
Neutral-atom scattering factors, no anomalous dispersion.

Cell: 3.768 3.768 10.671 Å, 90.00 90.00 90.00°
Space group P4/mmm (No. 123)
One atom of each set of equivalent atoms:
Th 0.000 0.000 0.000 (multiplicity 1)
In 0.000 0.000 0.500 (multiplicity 1)
Si 0.500 0.500 0.208 (multiplicity 2)
Ni 0.000 0.500 0.321 (multiplicity 4)
Ni 0.500 0.500 0.000 (multiplicity 1)

Largest 10 diffraction maxima, most intense first, 10 to 90 degrees two-theta:
| index | Position (°2θ) | Rel. int. |
| --- | --- | --- |
| 1 1 2 | 37.74 | 1000 |
| 2 0 0 | 48.29 | 900 |
| 1 0 2 | 29.01 | 778 |
| 1 1 1 | 34.70 | 446 |
| 1 1 5 | 55.15 | 406 |
| 0 0 3 | 25.03 | 402 |
| 2 1 2 | 57.33 | 318 |
| 0 0 4 | 33.61 | 282 |
| 1 0 0 | 23.61 | 278 |
| 0 0 2 | 16.62 | 233 |

(6)
The following is a simulated powder diffraction line list of SmIn4Ni2. It was derived from a crystal structure in Alexandria, relaxed with PBE, using Cu Kα (λ = 1.5418 Å).
Neutral-atom scattering factors, no anomalous dispersion.

Cell: 18.265 4.467 7.020 Å, 90.00 90.00 90.00°
Space group Pnma (No. 62)
One atom of each set of equivalent atoms:
Sm 0.140 0.250 0.024 (multiplicity 4)
In 0.032 0.750 0.849 (multiplicity 4)
In 0.072 0.250 0.507 (multiplicity 4)
In 0.185 0.750 0.324 (multiplicity 4)
In 0.196 0.750 0.738 (multiplicity 4)
Ni 0.041 0.750 0.243 (multiplicity 4)
Ni 0.217 0.250 0.536 (multiplicity 4)

Largest 10 diffraction maxima, most intense first, 10 to 90 degrees two-theta:
| index | Position (°2θ) | Rel. int. |
| --- | --- | --- |
| 2 1 2 | 33.93 | 1000 |
| 5 1 1 | 34.18 | 659 |
| 0 2 0 | 40.38 | 474 |
| 6 1 0 | 35.69 | 331 |
| 7 0 1 | 36.75 | 284 |
| 9 1 3 | 64.23 | 193 |
| 1 1 2 | 32.82 | 191 |
| 3 0 3 | 41.33 | 187 |
| 7 2 1 | 55.73 | 166 |
| 6 1 2 | 44.30 | 138 |

(7)
The following is a simulated powder diffraction line list of Sm2In3Ni. It was derived from a crystal structure in Alexandria, relaxed with PBE, using Cu Kα (λ = 1.5418 Å).
Neutral-atom scattering factors, no anomalous dispersion.

Cell: 3.746 4.787 8.270 Å, 90.00 90.00 90.00°
Space group Pmm2 (No. 25)
One atom of each set of equivalent atoms:
Sm 0.000 0.000 0.000 (multiplicity 1)
Sm 0.000 0.500 0.446 (multiplicity 1)
In 0.500 0.000 0.605 (multiplicity 1)
In 0.500 0.500 0.144 (multiplicity 1)
In 0.500 0.500 0.797 (multiplicity 1)
Ni 0.500 0.000 0.284 (multiplicity 1)

Largest 10 diffraction maxima, most intense first, 10 to 90 degrees two-theta:
| index | Position (°2θ) | Rel. int. |
| --- | --- | --- |
| 1 1 1 | 32.23 | 1000 |
| 0 2 0 | 37.62 | 604 |
| 2 2 0 | 63.05 | 258 |
| 1 2 2 | 50.36 | 244 |
| 1 3 1 | 64.50 | 157 |
| 2 0 0 | 48.61 | 107 |
| 3 1 1 | 80.33 | 93 |
| 2 3 3 | 87.83 | 66 |
| 0 3 3 | 67.86 | 64 |
| 0 1 2 | 28.52 | 61 |

(8)
The following is a simulated powder diffraction line list of Sm12InNi5. It was derived from a crystal structure in Alexandria, relaxed with PBE, using Cu Kα (λ = 1.5418 Å).
Neutral-atom scattering factors, no anomalous dispersion.

Cell: 9.553 9.808 10.139 Å, 90.00 90.00 90.00°
Space group Immm (No. 71)
One atom of each set of equivalent atoms:
Sm 0.000 0.189 0.208 (multiplicity 8)
Sm 0.194 0.500 0.178 (multiplicity 8)
Sm 0.201 0.318 0.500 (multiplicity 8)
In 0.000 0.000 0.500 (multiplicity 2)
Ni 0.000 0.000 0.000 (multiplicity 2)
Ni 0.000 0.368 0.000 (multiplicity 4)
Ni 0.000 0.500 0.376 (multiplicity 4)

Largest 10 diffraction maxima, most intense first, 10 to 90 degrees two-theta:
| index | Position (°2θ) | Rel. int. |
| --- | --- | --- |
| 2 2 2 | 31.54 | 1000 |
| 1 3 2 | 33.95 | 696 |
| 2 1 3 | 33.75 | 680 |
| 3 1 0 | 29.48 | 441 |
| 3 2 1 | 34.73 | 386 |
| 5 3 2 | 58.87 | 362 |
| 0 3 1 | 28.69 | 335 |
| 1 0 3 | 27.98 | 313 |
| 2 3 1 | 34.41 | 301 |
| 2 5 3 | 57.66 | 248 |